# K2NaMoBr6
Simulated XRD peak list, Cu Kα. Input: a GGA-PBE-relaxed structure.
Lines closer than 0.1° are merged.

The 10 most intense peaks (2θ from 10° to 90°), most intense first:
Position (°2θ), I (rel.)
32.6, 100
28.1, 83
46.8, 68
16.1, 50
55.5, 32
14.0, 28
77.7, 27
36.6, 24
58.2, 23
86.9, 21

Cell and atoms:
```
K2NaMoBr6
1.0
0.0000 5.4937 5.4937
5.4937 0.0000 5.4937
5.4937 5.4937 0.0000
K Na Mo Br
2 1 1 6
Direct
0.2500 0.2500 0.2500
0.7500 0.7500 0.7500
0.0000 0.0000 0.0000
0.5000 0.5000 0.5000
0.2628 0.2628 0.7372
0.2628 0.7372 0.2628
0.2628 0.7372 0.7372
0.7372 0.2628 0.2628
0.7372 0.2628 0.7372
0.7372 0.7372 0.2628
```


# K2NaPrBr6
Simulated XRD peak list, Cu Kα. Input: a GGA-PBE-relaxed structure.
Lines closer than 0.1° are merged.

The 10 most intense peaks (2θ from 10° to 90°), most intense first:
Position (°2θ), I (rel.)
30.9, 100
44.3, 72
26.7, 60
15.3, 60
34.7, 33
73.1, 31
52.4, 25
55.0, 25
13.3, 24
81.5, 23

Cell and atoms:
```
K2NaPrBr6
1.0
0.0000 5.7867 5.7867
5.7867 0.0000 5.7867
5.7867 5.7867 0.0000
K Na Pr Br
2 1 1 6
Direct
0.2500 0.2500 0.2500
0.7500 0.7500 0.7500
0.0000 0.0000 0.0000
0.5000 0.5000 0.5000
0.2500 0.2500 0.7500
0.2500 0.7500 0.2500
0.2500 0.7500 0.7500
0.7500 0.2500 0.2500
0.7500 0.2500 0.7500
0.7500 0.7500 0.2500
```


# K2NaScBr6
Simulated XRD peak list, Cu Kα. Input: a GGA-PBE-relaxed structure.
Lines closer than 0.1° are merged.

The 10 most intense peaks (2θ from 10° to 90°), most intense first:
Position (°2θ), I (rel.)
27.9, 100
32.3, 82
46.3, 56
54.9, 40
16.0, 27
76.9, 23
57.6, 19
85.9, 17
74.6, 15
36.2, 13

Cell and atoms:
```
K2NaScBr6
1.0
0.0000 5.5443 5.5443
5.5443 0.0000 5.5443
5.5443 5.5443 0.0000
K Na Sc Br
2 1 1 6
Direct
0.2500 0.2500 0.2500
0.7500 0.7500 0.7500
0.0000 0.0000 0.0000
0.5000 0.5000 0.5000
0.2609 0.2609 0.7391
0.2609 0.7391 0.2609
0.2609 0.7391 0.7391
0.7391 0.2609 0.2609
0.7391 0.2609 0.7391
0.7391 0.7391 0.2609
```


> Number 2 is which compound?

K2NaPrBr6